(1)
The following is a simulated XRD peak list of NaNd4Tl3. It was derived from a DFT-relaxed cell (PBE, Alexandria), using Cu Kα X-rays.

Crystal structure
a b c (Å): 9.000 9.000 9.000
angles (deg): 144.78 144.78 50.66
Sites, in units of the cell vectors:
Na 0.000 0.000 0.000
Nd 0.128 0.628 0.500
Nd 0.372 0.872 0.500
Nd 0.628 0.128 0.500
Nd 0.872 0.372 0.500
Tl 0.247 0.247 0.000
Tl 0.500 0.500 0.000
Tl 0.753 0.753 0.000

Most intense lines, 2θ from 10° to 80°, in order of falling intensity:
two_theta  I_rel
32.01  100
32.90  46
58.18  37
56.48  20
47.21  17
66.93  12
44.56  10
74.15  8
17.17  8
10.88  8

(2)
The following is a simulated XRD peak list of Dy3Ho5Tm. It was derived from a DFT-relaxed cell (PBE, Alexandria), using Cu Kα X-rays.

Crystal structure
a b c (Å): 9.001 9.001 11.238
angles (deg): 90.65 90.65 39.98
Sites, in units of the cell vectors:
Dy 0.000 0.000 0.000
Dy 0.000 0.000 0.500
Dy 0.113 0.564 0.921
Dy 0.436 0.887 0.579
Dy 0.564 0.113 0.421
Dy 0.887 0.436 0.079
Ho 0.026 0.620 0.252
Ho 0.110 0.566 0.582
Ho 0.380 0.974 0.248
Ho 0.412 0.588 0.250
Ho 0.434 0.890 0.918
Ho 0.566 0.110 0.082
Ho 0.588 0.412 0.750
Ho 0.620 0.026 0.752
Ho 0.890 0.434 0.418
Ho 0.974 0.380 0.748
Tm 0.103 0.897 0.750
Tm 0.897 0.103 0.250

Most intense lines, 2θ from 10° to 80°, in order of falling intensity:
two_theta  I_rel
32.02  100
31.74  93
32.31  80
30.93  51
36.10  34
31.90  32
28.44  28
28.33  24
29.02  21
26.55  20

(3)
The following is a simulated XRD peak list of Nb14OsRu. It was derived from a DFT-relaxed cell (PBE, Alexandria), using Cu Kα X-rays.

Crystal structure
a b c (Å): 5.692 5.692 9.254
angles (deg): 90.00 90.00 109.85
Sites, in units of the cell vectors:
Nb 0.000 0.000 0.000
Nb 0.000 0.500 0.000
Nb 0.000 0.500 0.500
Nb 0.250 0.250 0.260
Nb 0.250 0.250 0.740
Nb 0.250 0.750 0.253
Nb 0.250 0.750 0.747
Nb 0.500 0.000 0.000
Nb 0.500 0.000 0.500
Nb 0.500 0.500 0.000
Nb 0.750 0.250 0.253
Nb 0.750 0.250 0.747
Nb 0.750 0.750 0.260
Nb 0.750 0.750 0.740
Os 0.000 0.000 0.500
Ru 0.500 0.500 0.500

Most intense lines, 2θ from 10° to 80°, in order of falling intensity:
two_theta  I_rel
38.88  100
38.66  20
70.48  20
70.10  14
56.03  13
70.34  7
56.25  7
19.16  2
21.36  1
16.56  1

(4)
The following is a simulated XRD peak list of Ca2Pd5Au12. It was derived from a DFT-relaxed cell (PBE, Alexandria), using Cu Kα X-rays.

Crystal structure
a b c (Å): 7.215 7.215 7.215
angles (deg): 82.42 82.42 82.42
Sites, in units of the cell vectors:
Ca 0.178 0.178 0.178
Ca 0.822 0.822 0.822
Pd 0.000 0.500 0.500
Pd 0.400 0.400 0.400
Pd 0.500 0.000 0.500
Pd 0.500 0.500 0.000
Pd 0.600 0.600 0.600
Au 0.151 0.151 0.651
Au 0.151 0.651 0.151
Au 0.199 0.500 0.801
Au 0.199 0.801 0.500
Au 0.349 0.849 0.849
Au 0.500 0.199 0.801
Au 0.500 0.801 0.199
Au 0.651 0.151 0.151
Au 0.801 0.199 0.500
Au 0.801 0.500 0.199
Au 0.849 0.349 0.849
Au 0.849 0.849 0.349

Most intense lines, 2θ from 10° to 80°, in order of falling intensity:
two_theta  I_rel
42.66  100
38.00  86
18.67  59
38.45  33
43.06  31
37.85  30
33.54  27
68.36  20
32.63  19
69.24  17